# 1
Diffraction record for Sb2PSe4. The X-ray powder pattern is theoretical, not measured: it uses DFT lattice parameters and positions (PBE) and Cu Kα, 1.54184 Å.

Lattice parameters (Å, degrees): 7.254 7.340 9.145 105.92 96.74 117.98
Space group P-1 (No. 2)
Symmetry-distinct sites (fractional):
Sb  0.125  0.363  0.328 (multiplicity 2)
Sb  0.224  0.067  0.475 (multiplicity 2)
P  0.369  0.769  0.139 (multiplicity 2)
Se  0.050  0.675  0.215 (multiplicity 2)
Se  0.132  0.988  0.933 (multiplicity 2)
Se  0.386  0.883  0.672 (multiplicity 2)
Se  0.475  0.535  0.228 (multiplicity 2)

Largest 10 diffraction maxima, sorted by position, 5° ≤ 2θ ≤ 70°:
(hkl), 2theta, d_spacing, I/Imax
0 0 1, 10.51, 8.417, 29.6
2 0 -1, 27.94, 3.193, 28.2
1 -2 2, 28.21, 3.163, 100.0
0 1 2, 30.16, 2.963, 69.8
2 0 -2, 30.71, 2.912, 78.6
1 1 1, 31.37, 2.851, 22.9
3 -2 0, 38.10, 2.362, 23.0
1 -3 0, 39.35, 2.290, 47.1
1 2 -4, 45.97, 1.974, 28.7
1 3 -2, 50.53, 1.806, 20.4

=====

# 2
Diffraction record for TaIn. The X-ray powder pattern is theoretical, not measured: it uses DFT lattice parameters and positions (PBE) and Cu Kα, 1.54184 Å.

Lattice parameters (Å, degrees): 2.972 4.893 5.483 90.00 95.57 90.00
Space group P2_1/m (No. 11)
Symmetry-distinct sites (fractional):
Ta  0.079  0.250  0.368 (multiplicity 2)
In  0.481  0.750  0.148 (multiplicity 2)

Largest 10 diffraction maxima, sorted by position, 5° ≤ 2θ ≤ 70°:
(hkl), 2theta, d_spacing, I/Imax
1 0 1, 35.91, 2.501, 42.5
0 2 0, 36.74, 2.446, 56.0
0 1 2, 37.75, 2.383, 100.0
1 1 -1, 37.92, 2.373, 88.8
1 1 1, 40.51, 2.227, 19.9
1 2 1, 52.31, 1.749, 28.9
1 0 -3, 56.79, 1.621, 15.2
0 3 2, 66.83, 1.400, 18.5
1 3 -1, 66.94, 1.398, 16.6
1 2 -3, 69.56, 1.351, 16.5

=====

# 3
Diffraction record for SrAlBO4. The X-ray powder pattern is theoretical, not measured: it uses DFT lattice parameters and positions (PBE) and Cu Kα, 1.54184 Å.

Lattice parameters (Å, degrees): 8.995 14.356 5.887 90.00 90.00 90.00
Space group Pccn (No. 56)
Symmetry-distinct sites (fractional):
Sr  0.080  0.151  0.206 (multiplicity 8)
Al  0.210  0.571  0.631 (multiplicity 8)
B  0.097  0.088  0.716 (multiplicity 8)
O  0.027  0.539  0.720 (multiplicity 8)
O  0.115  0.181  0.768 (multiplicity 8)
O  0.197  0.624  0.361 (multiplicity 8)
O  0.209  0.044  0.591 (multiplicity 8)

Largest 10 diffraction maxima, sorted by position, 5° ≤ 2θ ≤ 70°:
(hkl), 2theta, d_spacing, I/Imax
1 1 0, 11.61, 7.622, 48.6
1 2 1, 21.88, 4.061, 54.5
0 4 0, 24.81, 3.589, 36.6
0 0 2, 30.42, 2.938, 100.0
1 4 1, 30.83, 2.901, 41.5
2 3 1, 31.24, 2.863, 20.8
1 6 1, 41.98, 2.152, 24.3
3 1 2, 43.54, 2.078, 37.6
3 5 0, 43.65, 2.074, 23.1
4 3 1, 47.25, 1.924, 19.7

=====

# 4
Diffraction record for Y2PuP. The X-ray powder pattern is theoretical, not measured: it uses DFT lattice parameters and positions (PBE) and Cu Kα, 1.54184 Å.

Lattice parameters (Å, degrees): 3.7170 3.7170 30.3274 90.00 90.00 120.00
Space group R-3m (No. 166, hexagonal axes)
Symmetry-distinct sites (fractional):
Y  0.0000  0.0000  0.1123 (multiplicity 6)
Pu  0.0000  0.0000  0.0000 (multiplicity 3)
P  0.0000  0.0000  0.5000 (multiplicity 3)

Largest 10 diffraction maxima, sorted by position, 5° ≤ 2θ ≤ 70°:
(hkl), 2theta, d_spacing, I/Imax
0 0 3, 8.75, 10.109, 35.7
0 0 6, 17.55, 5.055, 27.8
0 0 9, 26.45, 3.370, 48.3
1 0 1, 27.87, 3.201, 100.0
0 1 2, 28.34, 3.149, 71.3
1 0 7, 34.72, 2.584, 28.9
0 1 8, 36.62, 2.454, 70.8
1 0 10, 40.88, 2.207, 48.3
1 1 0, 49.01, 1.858, 36.5
1 1 9, 56.55, 1.627, 35.9

=====

# 5
Diffraction record for RbPdCl3. The X-ray powder pattern is theoretical, not measured: it uses DFT lattice parameters and positions (PBE) and Cu Kα, 1.54184 Å.

Lattice parameters (Å, degrees): 4.460 8.076 7.909 90.00 90.45 90.00
Space group P2_1/m (No. 11)
Symmetry-distinct sites (fractional):
Rb  0.002  0.250  0.004 (multiplicity 2)
Pd  0.500  0.000  0.500 (multiplicity 2)
Cl  0.228  0.250  0.497 (multiplicity 2)
Cl  0.497  0.002  0.794 (multiplicity 4)

Largest 10 diffraction maxima, sorted by position, 5° ≤ 2θ ≤ 70°:
(hkl), 2theta, d_spacing, I/Imax
0 0 2, 22.48, 3.954, 39.0
1 0 -1, 22.81, 3.898, 41.7
1 0 1, 22.97, 3.871, 37.4
0 2 1, 24.76, 3.596, 40.7
1 2 0, 29.85, 2.993, 100.0
1 0 -3, 39.57, 2.277, 18.3
1 0 3, 39.86, 2.262, 17.1
0 2 3, 40.88, 2.207, 25.0
0 4 0, 44.90, 2.019, 18.8
1 4 1, 50.98, 1.791, 17.3

=====

# 6
Diffraction record for Ac3MgB2N6. The X-ray powder pattern is theoretical, not measured: it uses DFT lattice parameters and positions (PBE) and Cu Kα, 1.54184 Å.

Lattice parameters (Å, degrees): 5.6375 5.6375 6.4933 90.00 90.00 120.00
Space group P-3m1 (No. 164)
Symmetry-distinct sites (fractional):
Ac  0.0000  0.0000  0.0000 (multiplicity 1)
Ac  0.3333  0.6667  0.6704 (multiplicity 2)
Mg  0.0000  0.0000  0.5000 (multiplicity 1)
B  0.3333  0.6667  0.2623 (multiplicity 2)
N  0.1835  0.3670  0.2871 (multiplicity 6)

Largest 10 diffraction maxima, sorted by position, 5° ≤ 2θ ≤ 70°:
(hkl), 2theta, d_spacing, I/Imax
1 0 1, 22.79, 3.902, 100.0
1 1 0, 31.75, 2.819, 59.4
0 1 2, 33.14, 2.703, 53.1
0 2 1, 39.44, 2.285, 35.3
0 0 3, 41.73, 2.164, 9.8
2 0 2, 46.55, 1.951, 25.8
2 1 1, 51.48, 1.775, 25.6
1 1 3, 53.37, 1.717, 24.2
3 0 0, 56.55, 1.627, 11.9
1 2 2, 57.44, 1.604, 22.0

=====

# 7
Diffraction record for MnCu. The X-ray powder pattern is theoretical, not measured: it uses DFT lattice parameters and positions (PBE) and Cu Kα, 1.54184 Å.

Lattice parameters (Å, degrees): 4.320 4.119 5.085 90.00 90.00 90.00
Space group Pnma (No. 62)
Symmetry-distinct sites (fractional):
Mn  0.072  0.250  0.125 (multiplicity 4)
Cu  0.079  0.250  0.625 (multiplicity 4)

Largest 10 diffraction maxima, sorted by position, 5° ≤ 2θ ≤ 70°:
(hkl), 2theta, d_spacing, I/Imax
1 0 1, 27.09, 3.292, 0.9
0 1 1, 27.88, 3.201, 1.4
1 1 1, 34.89, 2.572, 0.7
1 0 2, 41.20, 2.191, 20.2
2 0 0, 41.83, 2.160, 15.0
0 2 0, 43.97, 2.059, 39.0
1 1 2, 46.97, 1.934, 100.0
2 1 0, 47.54, 1.913, 40.8
1 2 2, 61.83, 1.501, 11.0
2 2 0, 62.30, 1.490, 8.3

=====

What did the fourth record say?
Diffraction record for Y2PuP. The X-ray powder pattern is theoretical, not measured: it uses DFT lattice parameters and positions (PBE) and Cu Kα, 1.54184 Å.

Lattice parameters (Å, degrees): 3.7170 3.7170 30.3274 90.00 90.00 120.00
Space group R-3m (No. 166, hexagonal axes)
Symmetry-distinct sites (fractional):
Y  0.0000  0.0000  0.1123 (multiplicity 6)
Pu  0.0000  0.0000  0.0000 (multiplicity 3)
P  0.0000  0.0000  0.5000 (multiplicity 3)

Largest 10 diffraction maxima, sorted by position, 5° ≤ 2θ ≤ 70°:
(hkl), 2theta, d_spacing, I/Imax
0 0 3, 8.75, 10.109, 35.7
0 0 6, 17.55, 5.055, 27.8
0 0 9, 26.45, 3.370, 48.3
1 0 1, 27.87, 3.201, 100.0
0 1 2, 28.34, 3.149, 71.3
1 0 7, 34.72, 2.584, 28.9
0 1 8, 36.62, 2.454, 70.8
1 0 10, 40.88, 2.207, 48.3
1 1 0, 49.01, 1.858, 36.5
1 1 9, 56.55, 1.627, 35.9